Record 1
Ca3Ag2Ge2: theoretical X-ray powder pattern (Cu Kα, 1.54184 Å), based on a GGA-PBE-relaxed structure.
No peak broadening, texture or thermal motion is included.

Main lines, low angle first (10° ≤ 2θ ≤ 90°):
2θ = 12.59°, I = 23, (0 0 2); 2θ = 14.92°, I = 33, (1 0 0); 2θ = 19.61°, I = 69, (1 0 2); 2θ = 31.61°, I = 24, (1 1 4); 2θ = 32.79°, I = 20, (2 1 1); 2θ = 33.01°, I = 76, (1 2 3); 2θ = 33.88°, I = 44, (0 2 4); 2θ = 36.81°, I = 64, (1 3 0); 2θ = 37.57°, I = 100, (2 1 3); 2θ = 38.41°, I = 25, (0 0 6); 2θ = 42.99°, I = 19, (1 1 6); 2θ = 71.68°, I = 19, (3 3 6)

Crystal structure
a = 5.9361 Å, b = 8.0377 Å, c = 14.0607 Å
α = 90.00°, β = 90.00°, γ = 90.00°
Space group Pbcm (No. 57)
Asymmetric unit:
Ca  0.1146  0.0859  0.1101 (multiplicity 8)
Ca  0.3498  0.7262  0.2500 (multiplicity 4)
Ag  0.3916  0.0644  0.5862 (multiplicity 8)
Ge  0.1667  0.1315  0.7500 (multiplicity 4)
Ge  0.2829  0.7500  0.0000 (multiplicity 4)

---

Record 2
CaAgGe2: theoretical X-ray powder pattern (Cu Kα, 1.54184 Å), based on a GGA-PBE-relaxed structure.
No peak broadening, texture or thermal motion is included.

Main lines, low angle first (10° ≤ 2θ ≤ 90°):
2θ = 10.03°, I = 34, (1 0 1); 2θ = 14.77°, I = 20, (2 0 1); 2θ = 20.14°, I = 37, (2 0 2); 2θ = 31.79°, I = 23, (0 0 4); 2θ = 32.02°, I = 20, (1 1 3); 2θ = 32.47°, I = 100, (4 1 0); 2θ = 33.88°, I = 19, (2 1 3); 2θ = 38.52°, I = 25, (1 1 4); 2θ = 41.15°, I = 44, (0 2 0); 2θ = 45.30°, I = 33, (0 1 5); 2θ = 46.54°, I = 33, (6 1 2); 2θ = 62.91°, I = 24, (6 2 3)

Crystal structure
a = 14.1771 Å, b = 4.3870 Å, c = 11.2607 Å
α = 90.00°, β = 90.00°, γ = 90.00°
Space group Pnma (No. 62)
Asymmetric unit:
Ca  0.0501  0.2500  0.2395 (multiplicity 4)
Ca  0.2059  0.7500  0.5233 (multiplicity 4)
Ag  0.0581  0.2500  0.9465 (multiplicity 4)
Ag  0.1967  0.7500  0.8187 (multiplicity 4)
Ge  0.0454  0.2500  0.5118 (multiplicity 4)
Ge  0.1101  0.2500  0.7198 (multiplicity 4)
Ge  0.1325  0.7500  0.0438 (multiplicity 4)
Ge  0.2093  0.7500  0.2418 (multiplicity 4)

---

What did the first record say?
Ca3Ag2Ge2: theoretical X-ray powder pattern (Cu Kα, 1.54184 Å), based on a GGA-PBE-relaxed structure.
No peak broadening, texture or thermal motion is included.

Main lines, low angle first (10° ≤ 2θ ≤ 90°):
2θ = 12.59°, I = 23, (0 0 2); 2θ = 14.92°, I = 33, (1 0 0); 2θ = 19.61°, I = 69, (1 0 2); 2θ = 31.61°, I = 24, (1 1 4); 2θ = 32.79°, I = 20, (2 1 1); 2θ = 33.01°, I = 76, (1 2 3); 2θ = 33.88°, I = 44, (0 2 4); 2θ = 36.81°, I = 64, (1 3 0); 2θ = 37.57°, I = 100, (2 1 3); 2θ = 38.41°, I = 25, (0 0 6); 2θ = 42.99°, I = 19, (1 1 6); 2θ = 71.68°, I = 19, (3 3 6)

Crystal structure
a = 5.9361 Å, b = 8.0377 Å, c = 14.0607 Å
α = 90.00°, β = 90.00°, γ = 90.00°
Space group Pbcm (No. 57)
Asymmetric unit:
Ca  0.1146  0.0859  0.1101 (multiplicity 8)
Ca  0.3498  0.7262  0.2500 (multiplicity 4)
Ag  0.3916  0.0644  0.5862 (multiplicity 8)
Ge  0.1667  0.1315  0.7500 (multiplicity 4)
Ge  0.2829  0.7500  0.0000 (multiplicity 4)

---

Copy entry 1 word for word.
Ca3Ag2Ge2: theoretical X-ray powder pattern (Cu Kα, 1.54184 Å), based on a GGA-PBE-relaxed structure.
No peak broadening, texture or thermal motion is included.

Main lines, low angle first (10° ≤ 2θ ≤ 90°):
2θ = 12.59°, I = 23, (0 0 2); 2θ = 14.92°, I = 33, (1 0 0); 2θ = 19.61°, I = 69, (1 0 2); 2θ = 31.61°, I = 24, (1 1 4); 2θ = 32.79°, I = 20, (2 1 1); 2θ = 33.01°, I = 76, (1 2 3); 2θ = 33.88°, I = 44, (0 2 4); 2θ = 36.81°, I = 64, (1 3 0); 2θ = 37.57°, I = 100, (2 1 3); 2θ = 38.41°, I = 25, (0 0 6); 2θ = 42.99°, I = 19, (1 1 6); 2θ = 71.68°, I = 19, (3 3 6)

Crystal structure
a = 5.9361 Å, b = 8.0377 Å, c = 14.0607 Å
α = 90.00°, β = 90.00°, γ = 90.00°
Space group Pbcm (No. 57)
Asymmetric unit:
Ca  0.1146  0.0859  0.1101 (multiplicity 8)
Ca  0.3498  0.7262  0.2500 (multiplicity 4)
Ag  0.3916  0.0644  0.5862 (multiplicity 8)
Ge  0.1667  0.1315  0.7500 (multiplicity 4)
Ge  0.2829  0.7500  0.0000 (multiplicity 4)